For NiTeO4, a cell relaxed with PBE+U gives the calculated X-ray powder pattern in this record (Cu Kα).
Lines closer than 0.1° are merged.

Top 10 peaks for 2θ = 15–90°, in order of falling intensity:
- 2θ = 26.7°, 3.333 Å, rel. 100
- 2θ = 34.7°, 2.584 Å, rel. 54
- 2θ = 52.5°, 1.742 Å, rel. 48
- 2θ = 66.7°, 1.401 Å, rel. 21
- 2θ = 38.2°, 2.357 Å, rel. 20
- 2θ = 34.8°, 2.578 Å, rel. 16
- 2θ = 55.1°, 1.667 Å, rel. 16
- 2θ = 52.7°, 1.738 Å, rel. 15
- 2θ = 17.2°, 5.156 Å, rel. 14
- 2θ = 62.3°, 1.491 Å, rel. 13

Structure:
```
NiTeO4
1.0
5.623 0.000 0.000
0.000 4.718 0.000
-2.250 0.000 5.171
Ni Te O
2 2 8
Cartesian
0.000 0.000 0.000
-1.125 2.359 2.586
1.687 0.000 2.586
2.811 2.359 0.000
0.172 0.860 1.859
-0.953 1.498 4.445
0.456 3.394 3.466
1.581 3.683 0.880
1.792 1.035 4.291
2.917 1.324 1.705
4.326 3.219 0.727
3.202 3.857 3.312
```